Record 1
CsPbO3: computed powder diffractogram (Cu Ka), based on the PBE geometry in the Materials Project.
No peak broadening, texture or thermal motion is included.

Top 8 peaks for 2θ = 10–80°, sorted by position:
index	d_spacing	two_theta	intensity
1 0 0	4.481	19.82	9.3
1 1 0	3.168	28.17	100.0
2 0 0	2.240	40.26	28.2
2 1 0	2.004	45.25	4.9
2 1 1	1.829	49.85	42.9
2 2 0	1.584	58.24	18.6
3 1 0	1.417	65.93	19.1
2 2 2	1.293	73.17	6.2

Atomic structure:
a = 4.481 Å, b = 4.481 Å, c = 4.481 Å
α = 90.00°, β = 90.00°, γ = 90.00°
Space group Pm-3m (No. 221)
Symmetry-distinct sites (fractional):
Cs 0.000 0.000 0.000
Pb 0.500 0.500 0.500
O 0.000 0.500 0.500


Record 2
CsPdO3: computed powder diffractogram (Cu Ka), based on the PBE geometry in the Materials Project.
No peak broadening, texture or thermal motion is included.

Top 8 peaks for 2θ = 10–80°, sorted by position:
index	d_spacing	two_theta	intensity
1 1 0	2.970	30.09	100.0
1 1 1	2.425	37.08	3.8
2 0 0	2.100	43.08	30.7
2 1 1	1.715	53.44	40.0
2 2 0	1.485	62.56	19.0
3 1 0	1.328	70.97	17.3
3 1 1	1.266	75.01	1.0
2 2 2	1.212	78.97	6.3

Atomic structure:
a = 4.200 Å, b = 4.200 Å, c = 4.200 Å
α = 90.00°, β = 90.00°, γ = 90.00°
Space group Pm-3m (No. 221)
Symmetry-distinct sites (fractional):
Cs 0.000 0.000 0.000
Pd 0.500 0.500 0.500
O 0.000 0.500 0.500


Record 3
Cs2PrO3: computed powder diffractogram (Cu Ka), based on the PBE geometry in the Materials Project.
No peak broadening, texture or thermal motion is included.

Top 8 peaks for 2θ = 10–80°, sorted by position:
index	d_spacing	two_theta	intensity
3 1 0	3.533	25.21	33.8
0 2 1	3.372	26.43	100.0
3 1 1	3.128	28.53	66.2
3 1 2	2.437	36.89	35.1
3 3 1	2.069	43.75	19.0
0 2 3	1.945	46.71	13.8
3 1 3	1.894	48.04	12.3
6 0 2	1.708	53.65	29.4

Atomic structure:
a = 11.888 Å, b = 7.803 Å, c = 6.730 Å
α = 90.00°, β = 90.00°, γ = 90.00°
Space group Cmc2_1 (No. 36)
Symmetry-distinct sites (fractional):
Cs 0.163 0.138 0.000
Pr 0.000 0.403 0.543
O 0.000 0.128 0.630
O 0.124 0.475 0.278


Record 4
CsPrS2O8: computed powder diffractogram (Cu Ka), based on the PBE geometry in the Materials Project.
No peak broadening, texture or thermal motion is included.

Top 8 peaks for 2θ = 10–80°, sorted by position:
index	d_spacing	two_theta	intensity
0 2 0	7.271	12.17	34.7
2 2 0	4.041	22.00	65.3
1 2 1	4.001	22.22	90.5
2 3 0	3.432	25.96	45.1
1 3 1	3.408	26.15	100.0
3 0 1	2.793	32.05	78.9
3 4 1	2.215	40.74	58.4
2 6 2	1.705	53.77	30.1

Atomic structure:
a = 9.722 Å, b = 14.541 Å, c = 5.507 Å
α = 90.00°, β = 90.00°, γ = 90.00°
Space group Pnna (No. 52)
Symmetry-distinct sites (fractional):
Cs 0.077 0.250 0.250
Pr 0.250 0.000 0.677
S 0.086 0.584 0.262
O 0.062 0.112 0.774
O 0.097 0.015 0.305
O 0.151 0.602 0.502
O 0.159 0.637 0.067


Record 5
CsPuO3: computed powder diffractogram (Cu Ka), based on the PBE geometry in the Materials Project.
No peak broadening, texture or thermal motion is included.

Top 8 peaks for 2θ = 10–80°, sorted by position:
index	d_spacing	two_theta	intensity
1 1 0	4.451	19.95	14.2
2 0 0	3.148	28.35	51.1
1 1 1	3.126	28.55	100.0
2 2 0	2.226	40.53	27.3
0 0 2	2.196	41.10	13.3
3 1 1	1.813	50.32	42.6
2 0 2	1.801	50.69	21.3
2 2 2	1.563	59.10	17.7

Atomic structure:
a = 6.295 Å, b = 6.295 Å, c = 4.392 Å
α = 90.00°, β = 90.00°, γ = 90.00°
Space group P4/mbm (No. 127)
Symmetry-distinct sites (fractional):
Cs 0.000 0.000 0.000
Pu 0.000 0.500 0.500
O 0.000 0.500 0.000
O 0.225 0.275 0.500


Record 6
CsRbO3: computed powder diffractogram (Cu Ka), based on the PBE geometry in the Materials Project.
No peak broadening, texture or thermal motion is included.

Top 8 peaks for 2θ = 10–80°, sorted by position:
index	d_spacing	two_theta	intensity
1 0 0	4.560	19.47	11.2
1 1 0	3.224	27.67	100.0
2 0 0	2.280	39.53	33.5
2 1 1	1.862	48.93	41.5
2 2 0	1.612	57.14	21.3
3 1 0	1.442	64.64	18.4
2 2 2	1.316	71.70	7.0
3 2 1	1.219	78.48	21.6

Atomic structure:
a = 4.560 Å, b = 4.560 Å, c = 4.560 Å
α = 90.00°, β = 90.00°, γ = 90.00°
Space group Pm-3m (No. 221)
Symmetry-distinct sites (fractional):
Cs 0.000 0.000 0.000
Rb 0.500 0.500 0.500
O 0.000 0.000 0.500